Entry 1:
The following is a computed powder XRD pattern of Pm2SmDy6Ho3. It was derived from a DFT-relaxed cell (GGA-PBE, Alexandria), using Cu Ka.

Structural model:
a b c (Å): 6.170 6.170 11.795
angles (deg): 94.99 94.99 119.97
Element x y z (fractional)
Pm: 0.167 0.833 0.000
Pm: 0.833 0.167 0.000
Sm: 0.500 0.500 0.000
Dy: 0.082 0.415 0.747
Dy: 0.252 0.252 0.253
Dy: 0.415 0.082 0.747
Dy: 0.585 0.918 0.253
Dy: 0.748 0.748 0.747
Dy: 0.918 0.585 0.253
Ho: 0.000 0.000 0.500
Ho: 0.333 0.667 0.500
Ho: 0.667 0.333 0.500

Most intense lines, 10° ≤ 2θ ≤ 90°, by intensity:
30.75 deg, rel. 100; 35.66 deg, rel. 51; 51.32 deg, rel. 36; 61.02 deg, rel. 36; 83.69 deg, rel. 12; 64.03 deg, rel. 9; 86.37 deg, rel. 8; 86.47 deg, rel. 8; 61.09 deg, rel. 7; 83.80 deg, rel. 6

---

Entry 2:
The following is a computed powder XRD pattern of Pm2SmDy4Ho2. It was derived from a DFT-relaxed cell (GGA-PBE, Alexandria), using Cu Ka.

Structural model:
a b c (Å): 6.016 6.635 8.583
angles (deg): 79.98 70.50 65.04
Element x y z (fractional)
Pm: 0.229 0.328 0.342
Pm: 0.771 0.672 0.658
Sm: 0.500 0.000 0.000
Dy: 0.121 0.128 0.758
Dy: 0.238 0.579 0.886
Dy: 0.762 0.421 0.114
Dy: 0.879 0.872 0.242
Ho: 0.321 0.769 0.444
Ho: 0.679 0.231 0.556

Most intense lines, 10° ≤ 2θ ≤ 90°, by intensity:
31.75 deg, rel. 100; 31.35 deg, rel. 59; 32.39 deg, rel. 54; 32.25 deg, rel. 45; 29.72 deg, rel. 41; 55.69 deg, rel. 20; 58.50 deg, rel. 18; 48.04 deg, rel. 17; 42.87 deg, rel. 15; 44.61 deg, rel. 13

---

Entry 3:
The following is a computed powder XRD pattern of Tb3Pm6DyHo2. It was derived from a DFT-relaxed cell (GGA-PBE, Alexandria), using Cu Ka.

Structural model:
a b c (Å): 6.243 6.243 11.857
angles (deg): 95.02 95.02 119.98
Element x y z (fractional)
Tb: 0.000 0.000 0.000
Tb: 0.333 0.667 0.000
Tb: 0.667 0.333 0.000
Pm: 0.083 0.416 0.251
Pm: 0.250 0.250 0.749
Pm: 0.416 0.083 0.251
Pm: 0.584 0.917 0.749
Pm: 0.750 0.750 0.251
Pm: 0.917 0.584 0.749
Dy: 0.500 0.500 0.500
Ho: 0.167 0.833 0.500
Ho: 0.833 0.167 0.500

Most intense lines, 10° ≤ 2θ ≤ 90°, by intensity:
30.40 deg, rel. 100; 35.31 deg, rel. 67; 30.63 deg, rel. 33; 60.36 deg, rel. 29; 50.65 deg, rel. 24; 50.95 deg, rel. 24; 60.22 deg, rel. 14; 60.63 deg, rel. 14; 63.25 deg, rel. 12; 82.49 deg, rel. 12

---

Entry 4:
The following is a computed powder XRD pattern of Tb2PmDyHo2. It was derived from a DFT-relaxed cell (GGA-PBE, Alexandria), using Cu Ka.

Structural model:
a b c (Å): 6.543 17.772 3.389
angles (deg): 90.00 90.00 90.00
Element x y z (fractional)
Tb: 0.226 0.185 0.000
Tb: 0.274 0.685 0.500
Tb: 0.726 0.315 0.500
Tb: 0.774 0.815 0.000
Pm: 0.000 0.000 0.000
Pm: 0.500 0.500 0.500
Dy: 0.000 0.500 0.000
Dy: 0.500 0.000 0.500
Ho: 0.223 0.352 0.500
Ho: 0.277 0.852 0.000
Ho: 0.723 0.148 0.000
Ho: 0.777 0.648 0.500

Most intense lines, 10° ≤ 2θ ≤ 90°, by intensity:
29.08 deg, rel. 100; 30.39 deg, rel. 93; 30.17 deg, rel. 80; 41.27 deg, rel. 67; 34.03 deg, rel. 62; 36.05 deg, rel. 39; 31.39 deg, rel. 38; 33.20 deg, rel. 33; 26.78 deg, rel. 32; 55.67 deg, rel. 27

---

Entry 5:
The following is a computed powder XRD pattern of Tb2Pm2DyHo4. It was derived from a DFT-relaxed cell (GGA-PBE, Alexandria), using Cu Ka.

Structural model:
a b c (Å): 9.494 9.494 9.547
angles (deg): 115.22 115.22 21.81
Element x y z (fractional)
Tb: 0.147 0.147 0.163
Tb: 0.853 0.853 0.837
Pm: 0.334 0.334 0.500
Pm: 0.666 0.666 0.500
Dy: 0.000 0.000 0.500
Ho: 0.185 0.185 0.836
Ho: 0.481 0.481 0.166
Ho: 0.519 0.519 0.834
Ho: 0.815 0.815 0.164

Most intense lines, 10° ≤ 2θ ≤ 90°, by intensity:
31.95 deg, rel. 100; 33.65 deg, rel. 91; 31.20 deg, rel. 51; 60.89 deg, rel. 46; 50.86 deg, rel. 39; 28.92 deg, rel. 36; 54.88 deg, rel. 21; 58.19 deg, rel. 20; 86.98 deg, rel. 19; 29.55 deg, rel. 18

---

Entry 6:
The following is a computed powder XRD pattern of TbPm6DyHo2. It was derived from a DFT-relaxed cell (GGA-PBE, Alexandria), using Cu Ka.

Structural model:
a b c (Å): 8.910 8.910 9.623
angles (deg): 93.82 93.82 117.73
Element x y z (fractional)
Tb: 0.028 0.972 0.750
Tb: 0.972 0.028 0.250
Pm: 0.012 0.565 0.686
Pm: 0.117 0.760 0.055
Pm: 0.240 0.883 0.445
Pm: 0.292 0.510 0.881
Pm: 0.435 0.988 0.814
Pm: 0.490 0.708 0.619
Pm: 0.510 0.292 0.381
Pm: 0.565 0.012 0.186
Pm: 0.708 0.490 0.119
Pm: 0.760 0.117 0.555
Pm: 0.883 0.240 0.945
Pm: 0.988 0.435 0.314
Dy: 0.410 0.590 0.250
Dy: 0.590 0.410 0.750
Ho: 0.200 0.299 0.546
Ho: 0.299 0.200 0.046
Ho: 0.701 0.800 0.954
Ho: 0.800 0.701 0.454

Most intense lines, 10° ≤ 2θ ≤ 90°, by intensity:
31.09 deg, rel. 100; 30.47 deg, rel. 98; 30.21 deg, rel. 88; 28.29 deg, rel. 67; 30.90 deg, rel. 64; 33.61 deg, rel. 64; 31.21 deg, rel. 61; 31.95 deg, rel. 40; 27.82 deg, rel. 35; 53.23 deg, rel. 25